# Al2InFe
Theoretical X-ray powder pattern, Cu Kα, 1.54184 Å. Input: a cell relaxed with GGA-PBE.
No peak broadening, texture or thermal motion is included.

```
data_Al2InFe
_symmetry_space_group_name_H-M 'R 3 m'
_symmetry_Int_Tables_number 160
_symmetry_space_group_name_Hall 'R 3 -2"'
_cell_length_a 3.0111
_cell_length_b 3.0111
_cell_length_c 26.0099
_cell_angle_alpha 90.00
_cell_angle_beta 90.00
_cell_angle_gamma 120.00
loop_
_atom_site_label
_atom_site_type_symbol
_atom_site_fract_x
_atom_site_fract_y
_atom_site_fract_z
Al1 Al 0.0000 0.0000 0.0000
Al2 Al 0.0000 0.0000 0.2479
In1 In 0.0000 0.0000 0.4869
Fe1 Fe 0.0000 0.0000 0.7374
```

Top 10 peaks for 2θ from 15° to 90°, sorted by position:
2θ 30.9, 2.890 Å, I 13
2θ 34.6, 2.595 Å, I 22
2θ 37.1, 2.420 Å, I 100
2θ 38.6, 2.331 Å, I 18
2θ 41.7, 2.167 Å, I 21
2θ 42.3, 2.135 Å, I 12
2θ 44.5, 2.034 Å, I 56
2θ 61.6, 1.506 Å, I 22
2θ 68.0, 1.380 Å, I 12
2θ 77.1, 1.237 Å, I 19

# Ca3H7Rh2
Theoretical X-ray powder pattern, Cu Kα, 1.54184 Å. Input: a cell relaxed with GGA-PBE.
No peak broadening, texture or thermal motion is included.

```
data_Ca3H7Rh2
_symmetry_space_group_name_H-M 'I 4/m m m'
_symmetry_Int_Tables_number 139
_symmetry_space_group_name_Hall '-I 4 2'
_cell_length_a 3.710
_cell_length_b 3.710
_cell_length_c 19.460
_cell_angle_alpha 90.00
_cell_angle_beta 90.00
_cell_angle_gamma 90.00
loop_
_atom_site_label
_atom_site_type_symbol
_atom_site_fract_x
_atom_site_fract_y
_atom_site_fract_z
Ca1 Ca 0.000 0.000 0.000
Ca2 Ca 0.000 0.000 0.175
H1 H 0.000 0.000 0.311
H2 H 0.000 0.000 0.500
H3 H 0.000 0.500 0.092
Rh1 Rh 0.000 0.000 0.404
```

Top 10 peaks for 2θ from 15° to 90°, sorted by position:
2θ 18.2, 4.865 Å, I 25
2θ 24.4, 3.645 Å, I 22
2θ 33.4, 2.686 Å, I 100
2θ 34.2, 2.624 Å, I 56
2θ 39.0, 2.309 Å, I 13
2θ 40.5, 2.225 Å, I 15
2θ 48.7, 1.868 Å, I 10
2θ 49.1, 1.855 Å, I 20
2θ 59.1, 1.563 Å, I 12
2θ 60.7, 1.526 Å, I 34